1.
# TbPrHo2Th
Computed powder diffraction line list, Cu Ka. Input: DFT lattice parameters and positions (GGA-PBE).

The 12 most intense peaks (15 to 90 degrees two-theta), low angle first:
| d (Å) | 2theta | I/Imax | h k l |
| --- | --- | --- | --- |
| 5.659 | 15.66 | 13 | 0 1 0 |
| 4.351 | 20.41 | 12 | 0 0 2 |
| 3.449 | 25.83 | 11 | 0 1 2 |
| 2.901 | 30.82 | 12 | 0 0 3 |
| 2.835 | 31.55 | 100 | 0 2 0 |
| 2.747 | 32.60 | 14 | 1 0 2 |
| 2.581 | 34.75 | 19 | 0 1 3 |
| 2.471 | 36.36 | 19 | 1 1 2 |
| 1.971 | 46.05 | 11 | 1 2 2 |
| 1.635 | 56.26 | 14 | 1 3 1 |
| 1.506 | 61.59 | 15 | 1 1 5 |
| 1.501 | 61.81 | 9 | 2 2 0 |

Cell and atoms:
a b c (Å): 3.5413 5.6589 8.7028
angles (deg): 90.00 90.00 90.00
Fractional positions:
Tb  0.0000  0.0000  0.0000
Pr  0.5000  0.0000  0.5000
Ho  0.5000  0.5000  0.1786
Ho  0.5000  0.5000  0.8214
Th  0.0000  0.5000  0.5000

=====

2.
# I
Computed powder diffraction line list, Cu Ka. Input: DFT lattice parameters and positions (GGA-PBE).

The 12 most intense peaks (15 to 90 degrees two-theta), low angle first:
| d (Å) | 2theta | I/Imax | h k l |
| --- | --- | --- | --- |
| 5.602 | 15.82 | 59 | 1 0 0 |
| 4.805 | 18.46 | 25 | 0 1 -1 |
| 4.441 | 19.99 | 100 | 0 1 1 |
| 4.393 | 20.22 | 26 | 1 0 -1 |
| 3.487 | 25.54 | 39 | -1 1 1 |
| 3.474 | 25.65 | 39 | 1 1 1 |
| 3.170 | 28.15 | 51 | 0 1 -2 |
| 2.878 | 31.08 | 33 | 0 2 -1 |
| 2.801 | 31.95 | 42 | 2 0 0 |
| 2.560 | 35.05 | 25 | 1 2 -1 |
| 2.363 | 38.09 | 32 | 2 1 1 |
| 2.099 | 43.10 | 38 | 2 1 -2 |

Cell and atoms:
a b c (Å): 5.6020 6.1005 7.1005
angles (deg): 94.56 90.12 90.19
Fractional positions:
I  0.0000  0.0000  0.0000
I  0.9999  0.2919  0.7255
I  0.9999  0.6524  0.3767
I  0.5005  0.7714  0.4490

=====

3.
# PmZnGa2Ru2
Computed powder diffraction line list, Cu Ka. Input: DFT lattice parameters and positions (GGA-PBE).

The 12 most intense peaks (15 to 90 degrees two-theta), low angle first:
| d (Å) | 2theta | I/Imax | h k l |
| --- | --- | --- | --- |
| 5.497 | 16.12 | 26 | 0 0 1 |
| 3.252 | 27.43 | 20 | 1 1 0 |
| 2.799 | 31.98 | 85 | 1 1 1 |
| 2.748 | 32.58 | 20 | 0 0 2 |
| 2.359 | 38.15 | 88 | 1 0 2 |
| 2.299 | 39.18 | 100 | 2 0 0 |
| 1.764 | 51.84 | 21 | 2 0 2 |
| 1.647 | 55.83 | 57 | 2 1 2 |
| 1.626 | 56.61 | 33 | 2 2 0 |
| 1.406 | 66.51 | 20 | 3 1 1 |
| 1.180 | 81.62 | 23 | 2 0 4 |
| 1.157 | 83.57 | 17 | 3 2 2 |

Cell and atoms:
a b c (Å): 4.5989 4.5989 5.4967
angles (deg): 90.00 90.00 90.00
Fractional positions:
Pm  0.0000  0.0000  0.0000
Zn  0.0000  0.0000  0.5000
Ga  0.5000  0.5000  0.2498
Ga  0.5000  0.5000  0.7502
Ru  0.0000  0.5000  0.5000
Ru  0.5000  0.0000  0.5000

=====

Please write out number 1 again, unchanged.
# TbPrHo2Th
Computed powder diffraction line list, Cu Ka. Input: DFT lattice parameters and positions (GGA-PBE).

The 12 most intense peaks (15 to 90 degrees two-theta), low angle first:
| d (Å) | 2theta | I/Imax | h k l |
| --- | --- | --- | --- |
| 5.659 | 15.66 | 13 | 0 1 0 |
| 4.351 | 20.41 | 12 | 0 0 2 |
| 3.449 | 25.83 | 11 | 0 1 2 |
| 2.901 | 30.82 | 12 | 0 0 3 |
| 2.835 | 31.55 | 100 | 0 2 0 |
| 2.747 | 32.60 | 14 | 1 0 2 |
| 2.581 | 34.75 | 19 | 0 1 3 |
| 2.471 | 36.36 | 19 | 1 1 2 |
| 1.971 | 46.05 | 11 | 1 2 2 |
| 1.635 | 56.26 | 14 | 1 3 1 |
| 1.506 | 61.59 | 15 | 1 1 5 |
| 1.501 | 61.81 | 9 | 2 2 0 |

Cell and atoms:
a b c (Å): 3.5413 5.6589 8.7028
angles (deg): 90.00 90.00 90.00
Fractional positions:
Tb  0.0000  0.0000  0.0000
Pr  0.5000  0.0000  0.5000
Ho  0.5000  0.5000  0.1786
Ho  0.5000  0.5000  0.8214
Th  0.0000  0.5000  0.5000